The following is a theoretical X-ray powder pattern of Li5W2O7. It was derived from a cell relaxed with GGA+U, using Cu Ka.
Intensities are scaled so that the largest is 100.

Crystal structure
abc: 5.4787 6.3348 9.4108
angles: 72.47 79.25 67.09
Atoms (fractional coordinates):
Li (0.0068, 0.2953, 0.0050)
Li (0.1418, 0.6294, 0.7012)
Li (0.2635, 0.9435, 0.4354)
Li (0.2676, 0.4354, 0.4362)
Li (0.4323, 0.3559, 0.1384)
Li (0.5677, 0.6441, 0.8616)
Li (0.7324, 0.5646, 0.5638)
Li (0.7365, 0.0565, 0.5646)
Li (0.8582, 0.3706, 0.2988)
Li (0.9932, 0.7047, 0.9950)
W (0.1541, 0.0970, 0.7036)
W (0.4344, 0.8118, 0.1433)
W (0.5656, 0.1882, 0.8567)
W (0.8459, 0.9030, 0.2964)
O (0.0047, 0.2442, 0.5080)
O (0.1163, 0.0805, 0.2183)
O (0.1469, 0.6493, 0.2074)
O (0.2950, 0.4559, 0.9297)
O (0.3224, 0.9849, 0.9148)
O (0.3903, 0.2962, 0.6519)
O (0.4085, 0.8236, 0.6525)
O (0.5915, 0.1764, 0.3475)
O (0.6097, 0.7038, 0.3481)
O (0.6776, 0.0151, 0.0852)
O (0.7050, 0.5441, 0.0703)
O (0.8531, 0.3507, 0.7926)
O (0.8837, 0.9195, 0.7817)
O (0.9953, 0.7558, 0.4920)

Main lines, in order of falling intensity (10° ≤ 2θ ≤ 90°):
2theta	I_rel	hkl
15.70	100	0 1 0
16.31	99	0 1 1
28.46	74	-1 1 1
23.34	67	1 1 2
20.61	64	0 1 -1
20.93	58	1 0 -1
38.55	54	2 2 0
42.95	53	1 0 4
19.85	45	0 0 2
43.60	38	-1 2 2